1.
Diffraction record for PmNd3Rh2. The PXRD pattern is theoretical, not measured: it uses the GGA-PBE geometry in Alexandria and Cu Kα (weighted mean of Kα1 and Kα2).
Intensities are scaled so that the largest is 100.

Peak list (10 most intense, 2θ from 10° to 90°, by intensity)
- 2θ = 31.97°, 2.799 Å, I = 100.0
- 2θ = 42.36°, 2.134 Å, I = 46.1
- 2θ = 26.26°, 3.394 Å, I = 35.7
- 2θ = 54.04°, 1.697 Å, I = 22.4
- 2θ = 49.14°, 1.854 Å, I = 19.7
- 2θ = 70.96°, 1.328 Å, I = 19.6
- 2θ = 15.50°, 5.717 Å, I = 14.3
- 2θ = 24.64°, 3.613 Å, I = 14.2
- 2θ = 53.60°, 1.710 Å, I = 10.2
- 2θ = 49.10°, 1.855 Å, I = 9.9

Cell and atoms:
Unit cell a=8.663 b=8.663 c=11.700 alpha=119.64 beta=119.64 gamma=28.53
Positions (direct):
Pm (0.064, 0.064, 0.185)
Pm (0.936, 0.936, 0.815)
Nd (0.184, 0.184, 0.558)
Nd (0.310, 0.310, 0.934)
Nd (0.439, 0.439, 0.310)
Nd (0.561, 0.561, 0.690)
Nd (0.690, 0.690, 0.066)
Nd (0.816, 0.816, 0.442)
Rh (0.124, 0.124, 0.879)
Rh (0.374, 0.374, 0.630)
Rh (0.626, 0.626, 0.370)
Rh (0.876, 0.876, 0.121)

2.
Diffraction record for PmNdSnRh. The PXRD pattern is theoretical, not measured: it uses the GGA-PBE geometry in Alexandria and Cu Kα (weighted mean of Kα1 and Kα2).
Intensities are scaled so that the largest is 100.

Peak list (10 most intense, 2θ from 10° to 90°, by intensity)
- 2θ = 30.16°, 2.963 Å, I = 100.0
- 2θ = 37.91°, 2.373 Å, I = 51.9
- 2θ = 31.31°, 2.857 Å, I = 32.3
- 2θ = 38.42°, 2.343 Å, I = 26.9
- 2θ = 40.76°, 2.214 Å, I = 25.7
- 2θ = 42.38°, 2.133 Å, I = 23.0
- 2θ = 31.92°, 2.804 Å, I = 21.3
- 2θ = 57.25°, 1.609 Å, I = 16.9
- 2θ = 60.25°, 1.536 Å, I = 16.3
- 2θ = 53.63°, 1.709 Å, I = 14.3

Cell and atoms:
Unit cell a=4.266 b=6.029 c=6.029 alpha=43.08 beta=90.00 gamma=90.00
Positions (direct):
Pm (0.000, 0.000, 0.000)
Nd (0.500, 0.708, 0.708)
Sn (0.000, 0.291, 0.291)
Rh (0.500, 0.452, 0.452)

3.
Diffraction record for Pm2Nd6Ru. The PXRD pattern is theoretical, not measured: it uses the GGA-PBE geometry in Alexandria and Cu Kα (weighted mean of Kα1 and Kα2).
Intensities are scaled so that the largest is 100.

Peak list (10 most intense, 2θ from 10° to 90°, by intensity)
- 2θ = 30.78°, 2.905 Å, I = 100.0
- 2θ = 28.90°, 3.090 Å, I = 30.4
- 2θ = 31.03°, 2.882 Å, I = 29.9
- 2θ = 48.33°, 1.883 Å, I = 22.5
- 2θ = 31.19°, 2.867 Å, I = 18.5
- 2θ = 27.09°, 3.292 Å, I = 15.5
- 2θ = 40.11°, 2.248 Å, I = 15.2
- 2θ = 52.32°, 1.749 Å, I = 13.1
- 2θ = 47.63°, 1.909 Å, I = 11.8
- 2θ = 52.47°, 1.744 Å, I = 11.8

Cell and atoms:
Unit cell a=3.819 b=8.937 c=8.993 alpha=92.85 beta=90.02 gamma=90.03
Positions (direct):
Pm (0.000, 0.199, 0.033)
Pm (0.000, 0.801, 0.967)
Nd (0.000, 0.274, 0.450)
Nd (0.000, 0.726, 0.550)
Nd (0.499, 0.466, 0.802)
Nd (0.500, 0.054, 0.715)
Nd (0.500, 0.946, 0.285)
Nd (0.501, 0.534, 0.198)
Ru (0.500, 0.500, 0.500)

4.
Diffraction record for PmNd2Ru. The PXRD pattern is theoretical, not measured: it uses the GGA-PBE geometry in Alexandria and Cu Kα (weighted mean of Kα1 and Kα2).
Intensities are scaled so that the largest is 100.

Peak list (10 most intense, 2θ from 10° to 90°, by intensity)
- 2θ = 30.77°, 2.906 Å, I = 100.0
- 2θ = 31.53°, 2.838 Å, I = 92.0
- 2θ = 33.37°, 2.685 Å, I = 78.1
- 2θ = 33.11°, 2.706 Å, I = 66.4
- 2θ = 30.29°, 2.951 Å, I = 64.1
- 2θ = 29.24°, 3.054 Å, I = 53.8
- 2θ = 36.79°, 2.443 Å, I = 49.5
- 2θ = 30.13°, 2.966 Å, I = 45.8
- 2θ = 56.62°, 1.626 Å, I = 39.7
- 2θ = 47.70°, 1.907 Å, I = 37.9

Cell and atoms:
Unit cell a=7.411 b=9.757 c=6.472 alpha=90.00 beta=90.00 gamma=90.00
Positions (direct):
Pm (0.043, 0.250, 0.145)
Pm (0.457, 0.750, 0.645)
Pm (0.543, 0.250, 0.355)
Pm (0.957, 0.750, 0.855)
Nd (0.176, 0.067, 0.671)
Nd (0.176, 0.433, 0.671)
Nd (0.324, 0.567, 0.171)
Nd (0.324, 0.933, 0.171)
Nd (0.676, 0.067, 0.829)
Nd (0.676, 0.433, 0.829)
Nd (0.824, 0.567, 0.329)
Nd (0.824, 0.933, 0.329)
Ru (0.115, 0.750, 0.449)
Ru (0.385, 0.250, 0.949)
Ru (0.615, 0.750, 0.051)
Ru (0.885, 0.250, 0.551)

5.
Diffraction record for PmNd3Ru. The PXRD pattern is theoretical, not measured: it uses the GGA-PBE geometry in Alexandria and Cu Kα (weighted mean of Kα1 and Kα2).
Intensities are scaled so that the largest is 100.

Peak list (10 most intense, 2θ from 10° to 90°, by intensity)
- 2θ = 29.36°, 3.043 Å, I = 100.0
- 2θ = 33.37°, 2.685 Å, I = 58.1
- 2θ = 28.90°, 3.090 Å, I = 46.8
- 2θ = 32.43°, 2.761 Å, I = 37.7
- 2θ = 32.59°, 2.748 Å, I = 36.1
- 2θ = 29.45°, 3.033 Å, I = 33.6
- 2θ = 38.62°, 2.331 Å, I = 26.8
- 2θ = 49.19°, 1.852 Å, I = 19.7
- 2θ = 53.52°, 1.712 Å, I = 19.4
- 2θ = 59.50°, 1.554 Å, I = 18.5

Cell and atoms:
Unit cell a=7.485 b=7.485 c=8.466 alpha=124.35 beta=124.35 gamma=71.65
Positions (direct):
Pm (0.050, 0.050, 0.254)
Pm (0.950, 0.950, 0.746)
Nd (0.050, 0.449, 0.793)
Nd (0.449, 0.050, 0.793)
Nd (0.450, 0.450, 0.657)
Nd (0.550, 0.550, 0.343)
Nd (0.551, 0.950, 0.207)
Nd (0.950, 0.551, 0.207)
Ru (0.249, 0.249, 0.128)
Ru (0.751, 0.751, 0.872)

6.
Diffraction record for Pm4Nd3Ru4. The PXRD pattern is theoretical, not measured: it uses the GGA-PBE geometry in Alexandria and Cu Kα (weighted mean of Kα1 and Kα2).
Intensities are scaled so that the largest is 100.

Peak list (10 most intense, 2θ from 10° to 90°, by intensity)
- 2θ = 31.61°, 2.830 Å, I = 100.0
- 2θ = 33.98°, 2.638 Å, I = 67.2
- 2θ = 33.62°, 2.666 Å, I = 49.7
- 2θ = 38.13°, 2.360 Å, I = 41.7
- 2θ = 60.83°, 1.523 Å, I = 28.3
- 2θ = 29.10°, 3.069 Å, I = 24.3
- 2θ = 36.46°, 2.465 Å, I = 24.0
- 2θ = 49.33°, 1.847 Å, I = 23.6
- 2θ = 39.43°, 2.285 Å, I = 23.5
- 2θ = 28.70°, 3.110 Å, I = 22.4

Cell and atoms:
Unit cell a=9.627 b=9.627 c=9.627 alpha=157.87 beta=123.34 gamma=61.58
Positions (direct):
Pm (0.024, 0.835, 0.190)
Pm (0.355, 0.165, 0.190)
Pm (0.645, 0.835, 0.810)
Pm (0.976, 0.165, 0.810)
Nd (0.000, 0.500, 0.500)
Nd (0.402, 0.402, 0.000)
Nd (0.598, 0.598, 0.000)
Ru (0.256, 0.756, 0.500)
Ru (0.270, 0.000, 0.270)
Ru (0.730, 0.000, 0.730)
Ru (0.744, 0.244, 0.500)

7.
Diffraction record for PmNd2S4. The PXRD pattern is theoretical, not measured: it uses the GGA-PBE geometry in Alexandria and Cu Kα (weighted mean of Kα1 and Kα2).
Intensities are scaled so that the largest is 100.

Peak list (10 most intense, 2θ from 10° to 90°, by intensity)
- 2θ = 23.79°, 3.741 Å, I = 100.0
- 2θ = 33.04°, 2.711 Å, I = 51.6
- 2θ = 41.12°, 2.195 Å, I = 43.8
- 2θ = 30.92°, 2.892 Å, I = 37.7
- 2θ = 45.09°, 2.011 Å, I = 27.0
- 2θ = 24.47°, 3.637 Å, I = 26.9
- 2θ = 26.43°, 3.372 Å, I = 26.0
- 2θ = 52.56°, 1.741 Å, I = 23.6
- 2θ = 27.06°, 3.296 Å, I = 23.1
- 2θ = 42.80°, 2.113 Å, I = 18.3

Cell and atoms:
Unit cell a=7.025 b=7.025 c=13.488 alpha=90.00 beta=90.00 gamma=147.47
Positions (direct):
Pm (0.126, 0.874, 0.750)
Pm (0.874, 0.126, 0.250)
Nd (0.371, 0.629, 0.571)
Nd (0.371, 0.629, 0.929)
Nd (0.629, 0.371, 0.071)
Nd (0.629, 0.371, 0.429)
S (0.000, 0.000, 0.000)
S (0.000, 0.000, 0.500)
S (0.277, 0.723, 0.124)
S (0.277, 0.723, 0.376)
S (0.476, 0.524, 0.750)
S (0.524, 0.476, 0.250)
S (0.723, 0.277, 0.624)
S (0.723, 0.277, 0.876)

8.
Diffraction record for Pm5NdS8. The PXRD pattern is theoretical, not measured: it uses the GGA-PBE geometry in Alexandria and Cu Kα (weighted mean of Kα1 and Kα2).
Intensities are scaled so that the largest is 100.

Peak list (10 most intense, 2θ from 10° to 90°, by intensity)
- 2θ = 25.25°, 3.527 Å, I = 100.0
- 2θ = 25.87°, 3.445 Å, I = 77.4
- 2θ = 32.67°, 2.741 Å, I = 77.3
- 2θ = 33.96°, 2.640 Å, I = 45.7
- 2θ = 39.24°, 2.296 Å, I = 44.9
- 2θ = 32.51°, 2.754 Å, I = 38.8
- 2θ = 50.10°, 1.821 Å, I = 35.8
- 2θ = 38.82°, 2.320 Å, I = 31.8
- 2θ = 48.55°, 1.875 Å, I = 30.8
- 2θ = 53.77°, 1.705 Å, I = 30.3

Cell and atoms:
Unit cell a=7.429 b=7.429 c=7.429 alpha=108.23 beta=108.23 gamma=111.98
Positions (direct):
Pm (0.000, 0.000, 0.000)
Pm (0.222, 0.624, 0.097)
Pm (0.376, 0.472, 0.598)
Pm (0.528, 0.126, 0.903)
Pm (0.874, 0.778, 0.402)
Nd (0.750, 0.250, 0.500)
S (0.122, 0.732, 0.744)
S (0.130, 0.237, 0.757)
S (0.268, 0.012, 0.390)
S (0.480, 0.373, 0.243)
S (0.622, 0.878, 0.610)
S (0.627, 0.870, 0.107)
S (0.763, 0.520, 0.893)
S (0.988, 0.378, 0.256)

9.
Diffraction record for PmNd3S4. The PXRD pattern is theoretical, not measured: it uses the GGA-PBE geometry in Alexandria and Cu Kα (weighted mean of Kα1 and Kα2).
Intensities are scaled so that the largest is 100.

Peak list (10 most intense, 2θ from 10° to 90°, by intensity)
- 2θ = 31.14°, 2.872 Å, I = 100.0
- 2θ = 26.89°, 3.316 Å, I = 74.3
- 2θ = 44.62°, 2.031 Å, I = 72.5
- 2θ = 52.87°, 1.732 Å, I = 37.0
- 2θ = 73.78°, 1.284 Å, I = 32.1
- 2θ = 55.41°, 1.658 Å, I = 25.2
- 2θ = 82.23°, 1.172 Å, I = 24.3
- 2θ = 71.61°, 1.318 Å, I = 15.0
- 2θ = 88.44°, 1.105 Å, I = 11.8
- 2θ = 64.94°, 1.436 Å, I = 11.6

Cell and atoms:
Unit cell a=5.744 b=5.744 c=5.744 alpha=90.00 beta=90.00 gamma=90.00
Positions (direct):
Pm (0.000, 0.000, 0.000)
Nd (0.000, 0.500, 0.500)
Nd (0.500, 0.000, 0.500)
Nd (0.500, 0.500, 0.000)
S (0.000, 0.000, 0.500)
S (0.000, 0.500, 0.000)
S (0.500, 0.000, 0.000)
S (0.500, 0.500, 0.500)

10.
Diffraction record for Pm2NdS3. The PXRD pattern is theoretical, not measured: it uses the GGA-PBE geometry in Alexandria and Cu Kα (weighted mean of Kα1 and Kα2).
Intensities are scaled so that the largest is 100.

Peak list (10 most intense, 2θ from 10° to 90°, by intensity)
- 2θ = 31.27°, 2.860 Å, I = 100.0
- 2θ = 27.00°, 3.303 Å, I = 75.0
- 2θ = 44.80°, 2.023 Å, I = 60.4
- 2θ = 53.09°, 1.725 Å, I = 31.0
- 2θ = 74.15°, 1.279 Å, I = 26.7
- 2θ = 55.59°, 1.653 Å, I = 12.6
- 2θ = 55.72°, 1.650 Å, I = 12.5
- 2θ = 82.71°, 1.167 Å, I = 12.1
- 2θ = 44.87°, 2.020 Å, I = 12.0
- 2θ = 65.23°, 1.430 Å, I = 11.6

Cell and atoms:
Unit cell a=7.001 b=7.001 c=7.001 alpha=146.35 beta=131.80 gamma=60.07
Positions (direct):
Pm (0.166, 0.166, 0.000)
Pm (0.834, 0.834, 0.000)
Nd (0.500, 0.500, 0.000)
S (0.000, 0.500, 0.500)
S (0.332, 0.832, 0.500)
S (0.668, 0.168, 0.500)

11.
Diffraction record for Pm2NdS. The PXRD pattern is theoretical, not measured: it uses the GGA-PBE geometry in Alexandria and Cu Kα (weighted mean of Kα1 and Kα2).
Intensities are scaled so that the largest is 100.

Peak list (10 most intense, 2θ from 10° to 90°, by intensity)
- 2θ = 30.97°, 2.887 Å, I = 100.0
- 2θ = 29.48°, 3.030 Å, I = 71.0
- 2θ = 47.04°, 1.932 Å, I = 40.7
- 2θ = 28.12°, 3.173 Å, I = 39.1
- 2θ = 55.70°, 1.650 Å, I = 35.5
- 2θ = 26.83°, 3.323 Å, I = 26.2
- 2θ = 49.64°, 1.837 Å, I = 19.1
- 2θ = 41.57°, 2.172 Å, I = 17.8
- 2θ = 57.39°, 1.606 Å, I = 17.1
- 2θ = 52.54°, 1.742 Å, I = 17.0

Cell and atoms:
Unit cell a=9.778 b=9.778 c=9.778 alpha=22.79 beta=22.79 gamma=22.79
Positions (direct):
Pm (0.000, 0.000, 0.000)
Pm (0.213, 0.213, 0.213)
Nd (0.773, 0.773, 0.773)
S (0.606, 0.606, 0.606)

12.
Diffraction record for Tb2PmNd3S6. The PXRD pattern is theoretical, not measured: it uses the GGA-PBE geometry in Alexandria and Cu Kα (weighted mean of Kα1 and Kα2).
Intensities are scaled so that the largest is 100.

Peak list (10 most intense, 2θ from 10° to 90°, by intensity)
- 2θ = 31.51°, 2.840 Å, I = 100.0
- 2θ = 27.23°, 3.275 Å, I = 57.5
- 2θ = 45.08°, 2.011 Å, I = 36.2
- 2θ = 45.28°, 2.003 Å, I = 23.9
- 2θ = 27.10°, 3.290 Å, I = 19.4
- 2θ = 53.56°, 1.711 Å, I = 19.0
- 2θ = 53.42°, 1.715 Å, I = 16.0
- 2θ = 56.11°, 1.639 Å, I = 12.5
- 2θ = 45.15°, 2.008 Å, I = 12.0
- 2θ = 65.77°, 1.420 Å, I = 11.5

Cell and atoms:
Unit cell a=6.950 b=6.950 c=6.976 alpha=99.54 beta=99.54 gamma=120.17
Positions (direct):
Tb (0.166, 0.834, 0.000)
Tb (0.834, 0.166, 0.000)
Pm (0.500, 0.500, 0.000)
Nd (0.000, 0.000, 0.500)
Nd (0.336, 0.664, 0.500)
Nd (0.664, 0.336, 0.500)
S (0.080, 0.420, 0.759)
S (0.240, 0.240, 0.238)
S (0.420, 0.080, 0.759)
S (0.580, 0.920, 0.241)
S (0.760, 0.760, 0.762)
S (0.920, 0.580, 0.241)

13.
Diffraction record for PmNd3Th4S8. The PXRD pattern is theoretical, not measured: it uses the GGA-PBE geometry in Alexandria and Cu Kα (weighted mean of Kα1 and Kα2).
Intensities are scaled so that the largest is 100.

Peak list (10 most intense, 2θ from 10° to 90°, by intensity)
- 2θ = 31.25°, 2.862 Å, I = 100.0
- 2θ = 27.12°, 3.288 Å, I = 67.4
- 2θ = 44.42°, 2.039 Å, I = 37.7
- 2θ = 45.14°, 2.009 Å, I = 36.0
- 2θ = 26.56°, 3.356 Å, I = 23.6
- 2θ = 53.14°, 1.724 Å, I = 22.9
- 2θ = 55.92°, 1.644 Å, I = 19.1
- 2θ = 73.54°, 1.288 Å, I = 17.0
- 2θ = 74.59°, 1.272 Å, I = 16.4
- 2θ = 82.82°, 1.166 Å, I = 12.6

Cell and atoms:
Unit cell a=8.160 b=8.160 c=8.160 alpha=58.99 beta=58.99 gamma=58.99
Positions (direct):
Pm (0.000, 0.000, 0.000)
Nd (0.000, 0.500, 0.500)
Nd (0.500, 0.000, 0.500)
Nd (0.500, 0.500, 0.000)
Th (0.000, 0.000, 0.500)
Th (0.000, 0.500, 0.000)
Th (0.500, 0.000, 0.000)
Th (0.500, 0.500, 0.500)
S (0.249, 0.249, 0.751)
S (0.249, 0.751, 0.249)
S (0.249, 0.751, 0.751)
S (0.250, 0.250, 0.250)
S (0.750, 0.750, 0.750)
S (0.751, 0.249, 0.249)
S (0.751, 0.249, 0.751)
S (0.751, 0.751, 0.249)